No. 1
The following is a theoretical X-ray diffraction stick pattern of NdEr2MgPd4. It was derived from a structure optimized by DFT (GGA-PBE), using Cu Kα (λ = 1.5418 Å).
No peak broadening, texture or thermal motion is included.

Largest 10 diffraction maxima, low angle first, 2θ = 10–90°:
2theta, I (rel.)
28.00, 13
36.34, 95
37.10, 100
52.91, 32
64.87, 12
66.38, 32
66.88, 18
77.16, 7
79.03, 11
88.87, 11

Atomic structure:
Unit cell a=8.626 b=8.626 c=8.626 alpha=32.63 beta=32.63 gamma=32.63
Fractional positions:
1 Nd 0.000 0.000 0.000
2 Er 0.243 0.243 0.243
3 Er 0.757 0.757 0.757
4 Mg 0.500 0.500 0.500
5 Pd 0.126 0.126 0.126
6 Pd 0.385 0.385 0.385
7 Pd 0.615 0.615 0.615
8 Pd 0.874 0.874 0.874

***

No. 2
The following is a theoretical X-ray diffraction stick pattern of PmNdEr2Mg. It was derived from a structure optimized by DFT (GGA-PBE), using Cu Kα (λ = 1.5418 Å).
No peak broadening, texture or thermal motion is included.

Largest 10 diffraction maxima, low angle first, 2θ = 10–90°:
2theta, I (rel.)
31.12, 100
35.99, 17
36.08, 17
36.19, 16
51.97, 18
52.03, 12
61.63, 7
61.75, 14
61.90, 14
84.98, 8

Atomic structure:
Unit cell a=6.097 b=6.097 c=11.154 alpha=90.21 beta=90.21 gamma=48.05
Fractional positions:
1 Pm 0.247 0.247 0.244
2 Pm 0.753 0.753 0.756
3 Nd 0.453 0.453 0.652
4 Nd 0.547 0.547 0.348
5 Er 0.155 0.155 0.551
6 Er 0.352 0.352 0.953
7 Er 0.648 0.648 0.047
8 Er 0.845 0.845 0.449
9 Mg 0.054 0.054 0.860
10 Mg 0.946 0.946 0.140